Simulated powder XRD pattern
Compound: Zn6NiO6
Radiation: Cu Kα X-rays
Structure: DFT lattice parameters and positions (GGA+U)

Most intense lines, 2θ = 15–90°, by angle:
2theta, Rel. int., hkl
15.52, 16, 1 0 0
22.01, 41, 1 1 0
31.33, 38, 2 0 0
35.14, 100, 2 1 0
38.62, 85, 2 1 1
55.77, 32, 2 2 2
58.26, 24, 3 0 2
60.68, 40, 3 1 2
65.37, 23, 4 0 0
74.28, 10, 4 2 0
76.44, 21, 4 2 1
78.58, 9, 3 3 2

Cell and atoms:
```
Zn6NiO6
1.0
5.7101 0.0000 0.0000
0.0000 5.7101 0.0000
0.0000 0.0000 5.7101
Zn Ni O
6 1 6
Cartesian
0.0000 1.4222 2.8550
0.0000 4.2879 2.8550
1.4222 2.8550 0.0000
2.8550 0.0000 1.4222
2.8550 0.0000 4.2879
4.2879 2.8550 0.0000
0.0000 0.0000 0.0000
0.0000 2.8550 1.4406
0.0000 2.8550 4.2694
1.4406 0.0000 2.8550
2.8550 1.4406 0.0000
2.8550 4.2694 0.0000
4.2694 0.0000 2.8550
```